Record 1
Theoretical X-ray powder pattern of SmNp5P6 for a wavelength of 1.5418 Å, from a cell relaxed with GGA-PBE.
Lines closer than 0.1° are merged.

Atomic structure:
Unit cell a=6.8988 b=6.8988 c=6.9059 alpha=99.59 beta=99.59 gamma=120.05
Fractional coordinates of all 12 atoms:
Sm  0.0000  0.0000  0.0000
Np  0.1639  0.8361  0.5000
Np  0.3327  0.6673  0.0000
Np  0.5000  0.5000  0.5000
Np  0.6673  0.3327  0.0000
Np  0.8361  0.1639  0.5000
P  0.0852  0.4262  0.2548
P  0.2573  0.2573  0.7475
P  0.4262  0.0852  0.2548
P  0.5738  0.9148  0.7452
P  0.7427  0.7427  0.2525
P  0.9148  0.5738  0.7452

Principal peaks in the range 5 to 70 degrees two-theta, sorted by position:
2theta  intensity
15.52  1
17.40  1
27.42  100
31.77  93
45.54  69
53.94  4
53.99  46
56.57  18
56.65  6
66.37  11

---

Record 2
Theoretical X-ray powder pattern of SmNp2UP4 for a wavelength of 1.5418 Å, from a cell relaxed with GGA-PBE.
Lines closer than 0.1° are merged.

Atomic structure:
Unit cell a=6.8975 b=6.8975 c=6.8975 alpha=131.88 beta=131.88 gamma=70.42
Fractional coordinates of all 8 atoms:
Sm  0.0000  0.0000  0.0000
Np  0.5000  0.5000  0.0000
Np  0.7500  0.2500  0.5000
U  0.2500  0.7500  0.5000
P  0.0023  0.5023  0.5000
P  0.2546  0.2546  0.0000
P  0.4977  0.9977  0.5000
P  0.7454  0.7454  0.0000

Principal peaks in the range 5 to 70 degrees two-theta, sorted by position:
2theta  intensity
17.62  4
27.45  100
31.80  95
36.61  1
43.27  1
45.59  71
54.04  50
56.66  25
66.35  4
66.50  8

---

Record 3
Theoretical X-ray powder pattern of NpSnP for a wavelength of 1.5418 Å, from a cell relaxed with GGA-PBE.
Lines closer than 0.1° are merged.

Atomic structure:
Unit cell a=8.0904 b=8.0904 c=4.1785 alpha=90.00 beta=90.00 gamma=151.97
Fractional coordinates of all 6 atoms:
Np  0.0815  0.9185  0.7500
Np  0.9185  0.0815  0.2500
Sn  0.2405  0.7595  0.2500
Sn  0.7595  0.2405  0.7500
P  0.4294  0.5706  0.7500
P  0.5706  0.4294  0.2500

Principal peaks in the range 5 to 70 degrees two-theta, sorted by position:
2theta  intensity
23.40  32
24.13  23
31.27  20
34.27  27
35.80  100
43.31  15
46.34  13
56.35  13
58.89  12
62.36  18

---

Record 4
Theoretical X-ray powder pattern of NpTaP2 for a wavelength of 1.5418 Å, from a cell relaxed with GGA-PBE.
Lines closer than 0.1° are merged.

Atomic structure:
Unit cell a=7.0227 b=7.0227 c=7.0227 alpha=29.68 beta=29.68 gamma=29.68
Fractional coordinates of all 4 atoms:
Np  0.0000  0.0000  0.0000
Ta  0.8249  0.8249  0.8249
P  0.4215  0.4215  0.4215
P  0.5684  0.5684  0.5684

Principal peaks in the range 5 to 70 degrees two-theta, sorted by position:
2theta  intensity
26.57  52
29.00  94
30.03  47
33.84  39
36.47  100
42.80  51
50.76  50
58.20  38
58.50  22
64.10  20

---

Record 5
Theoretical X-ray powder pattern of Np4Tc7P6 for a wavelength of 1.5418 Å, from a cell relaxed with GGA-PBE.
Lines closer than 0.1° are merged.

Atomic structure:
Unit cell a=7.0506 b=7.0506 c=7.0506 alpha=109.47 beta=109.47 gamma=109.47
Fractional coordinates of all 17 atoms:
Np  0.0000  0.0000  0.5000
Np  0.0000  0.5000  0.0000
Np  0.5000  0.0000  0.0000
Np  0.5000  0.5000  0.5000
Tc  0.0000  0.0000  0.0000
Tc  0.2500  0.5000  0.7500
Tc  0.2500  0.7500  0.5000
Tc  0.5000  0.2500  0.7500
Tc  0.5000  0.7500  0.2500
Tc  0.7500  0.2500  0.5000
Tc  0.7500  0.5000  0.2500
P  0.0000  0.3099  0.3099
P  0.0000  0.6901  0.6901
P  0.3099  0.0000  0.3099
P  0.3099  0.3099  0.0000
P  0.6901  0.0000  0.6901
P  0.6901  0.6901  0.0000

Principal peaks in the range 5 to 70 degrees two-theta, sorted by position:
2theta  intensity
21.83  35
26.82  14
31.07  67
38.30  100
41.50  16
44.51  62
50.11  22
55.28  25
64.78  38
69.24  12

---

Record 6
Theoretical X-ray powder pattern of NpTc2P2 for a wavelength of 1.5418 Å, from a cell relaxed with GGA-PBE.
Lines closer than 0.1° are merged.

Atomic structure:
Unit cell a=5.5790 b=5.5790 c=5.5790 alpha=136.40 beta=136.40 gamma=63.36
Fractional coordinates of all 5 atoms:
Np  0.0000  0.0000  0.0000
Tc  0.2500  0.7500  0.5000
Tc  0.7500  0.2500  0.5000
P  0.3719  0.3719  0.0000
P  0.6281  0.6281  0.0000

Principal peaks in the range 5 to 70 degrees two-theta, sorted by position:
2theta  intensity
23.42  55
35.70  42
36.02  100
37.90  16
43.69  38
50.16  16
53.05  13
57.64  22
59.19  18
67.24  17